(1)
Diffraction record for Ca2ZrTe. The powder diffractogram is theoretical, not measured: it uses DFT lattice parameters and positions (PBE) and Cu Kα.

Structural model:
a = 6.666 Å, b = 6.666 Å, c = 5.507 Å
α = 114.19°, β = 114.19°, γ = 32.92°
Sites, in units of the cell vectors:
Ca1 0.000 0.000 0.000
Ca2 0.205 0.205 0.703
Zr1 0.424 0.424 0.425
Te1 0.730 0.730 0.227

Largest 10 diffraction maxima, most intense first, 2θ = 15–90°:
two_theta  I (rel.)
32.7  100
17.8  46
32.5  29
33.2  20
30.9  19
47.1  11
59.3  10
48.2  9
58.0  9
58.2  9

---

(2)
Diffraction record for Ca4ThTl5. The powder diffractogram is theoretical, not measured: it uses DFT lattice parameters and positions (PBE) and Cu Kα.

Structural model:
a = 3.799 Å, b = 3.799 Å, c = 20.267 Å
α = 90.00°, β = 90.00°, γ = 90.00°
Sites, in units of the cell vectors:
Ca1 0.000 0.000 0.100
Ca2 0.000 0.000 0.295
Ca3 0.000 0.000 0.705
Ca4 0.000 0.000 0.900
Th1 0.000 0.000 0.500
Tl1 0.500 0.500 0.000
Tl2 0.500 0.500 0.198
Tl3 0.500 0.500 0.394
Tl4 0.500 0.500 0.606
Tl5 0.500 0.500 0.802

Largest 10 diffraction maxima, most intense first, 2θ = 15–90°:
two_theta  I (rel.)
32.3  100
33.4  47
58.9  36
23.4  21
56.9  19
47.9  17
21.9  12
67.6  12
40.3  10
44.7  10

---

(3)
Diffraction record for Ca5ThZn6. The powder diffractogram is theoretical, not measured: it uses DFT lattice parameters and positions (PBE) and Cu Kα.

Structural model:
a = 5.212 Å, b = 7.359 Å, c = 8.202 Å
α = 90.00°, β = 108.50°, γ = 90.00°
Sites, in units of the cell vectors:
Ca1 0.000 0.000 0.000
Ca2 0.331 0.500 0.662
Ca3 0.334 0.000 0.668
Ca4 0.666 0.000 0.332
Ca5 0.669 0.500 0.338
Th1 0.000 0.500 0.000
Zn1 0.162 0.254 0.327
Zn2 0.162 0.746 0.327
Zn3 0.500 0.262 0.000
Zn4 0.500 0.738 0.000
Zn5 0.838 0.254 0.673
Zn6 0.838 0.746 0.673

Largest 10 diffraction maxima, most intense first, 2θ = 15–90°:
two_theta  I (rel.)
34.5  100
61.7  21
49.6  21
61.9  20
34.6  20
16.6  10
21.7  10
18.0  9
83.0  8
72.7  8